# Li3Fe2F7
Theoretical X-ray powder pattern, λ = 1.5418 Å (Cu Kα). Input: a DFT-relaxed cell (GGA+U, Alexandria).

Structural model:
Cell: 7.5979 10.5280 8.6001 Å, 90.00 122.76 90.00°
Sites, in units of the cell vectors:
Li 0.1209 0.0933 0.3126
Li 0.1209 0.4067 0.8126
Li 0.2161 0.5611 0.1500
Li 0.2161 0.9389 0.6500
Li 0.3428 0.7323 0.9292
Li 0.3428 0.7677 0.4292
Li 0.6572 0.2323 0.5708
Li 0.6572 0.2677 0.0708
Li 0.7839 0.0611 0.3500
Li 0.7839 0.4389 0.8500
Li 0.8791 0.5933 0.1874
Li 0.8791 0.9067 0.6874
Fe 0.2238 0.5795 0.6048
Fe 0.2238 0.9205 0.1048
Fe 0.3213 0.2259 0.6721
Fe 0.3213 0.2741 0.1721
Fe 0.6787 0.7259 0.8279
Fe 0.6787 0.7741 0.3279
Fe 0.7762 0.0795 0.8952
Fe 0.7762 0.4205 0.3952
F 0.0765 0.1151 0.5144
F 0.0765 0.3849 0.0144
F 0.1248 0.1097 0.0700
F 0.1248 0.3903 0.5700
F 0.1830 0.6126 0.3569
F 0.1830 0.8874 0.8569
F 0.2129 0.5771 0.8310
F 0.2129 0.9229 0.3310
F 0.3515 0.2232 0.4272
F 0.3515 0.2768 0.9272
F 0.3568 0.7320 0.1771
F 0.3568 0.7680 0.6771
F 0.4631 0.0423 0.7645
F 0.4631 0.4577 0.2645
F 0.5369 0.5423 0.7355
F 0.5369 0.9577 0.2355
F 0.6432 0.2320 0.3229
F 0.6432 0.2680 0.8229
F 0.6484 0.7232 0.0728
F 0.6484 0.7768 0.5728
F 0.7871 0.0771 0.6690
F 0.7871 0.4229 0.1690
F 0.8170 0.1126 0.1431
F 0.8170 0.3874 0.6431
F 0.8752 0.6097 0.4300
F 0.8752 0.8903 0.9300
F 0.9235 0.6151 0.9856
F 0.9235 0.8849 0.4856

Largest 10 diffraction maxima, most intense first, 2θ from 10° to 80°:
index, d_spacing, Rel. int.
1 0 -2, 4.298, 100
1 3 0, 3.075, 70
2 0 -4, 2.149, 52
1 2 -1, 4.215, 50
2 0 0, 3.195, 34
1 1 -1, 5.850, 26
1 2 0, 4.063, 26
1 4 0, 2.434, 25
3 2 0, 1.974, 24
0 1 1, 5.961, 21